(1)
Structure and computed X-ray diffraction stick pattern of Na6GaHg2 (a structure optimized by DFT (GGA-PBE); λ = 1.5418 Å (Cu Kα)).
No peak broadening, texture or thermal motion is included.

a = 10.632 Å, b = 10.632 Å, c = 10.632 Å
α = 29.40°, β = 29.40°, γ = 29.40°
Fractional positions:
Na 0.079 0.079 0.079
Na 0.196 0.196 0.196
Na 0.309 0.309 0.309
Na 0.691 0.691 0.691
Na 0.804 0.804 0.804
Na 0.921 0.921 0.921
Ga 0.500 0.500 0.500
Hg 0.411 0.411 0.411
Hg 0.589 0.589 0.589

Peak list (6 most intense, 10 to 90 degrees two-theta, by intensity)
- 19.2°, d 4.620, I 100
- 33.2°, d 2.698, I 75
- 37.7°, d 2.384, I 55
- 35.1°, d 2.554, I 38
- 24.0°, d 3.710, I 30
- 17.4°, d 5.083, I 29

=====

(2)
Structure and computed X-ray diffraction stick pattern of NaGaHg6 (a structure optimized by DFT (GGA-PBE); λ = 1.5418 Å (Cu Kα)).
No peak broadening, texture or thermal motion is included.

a = 6.155 Å, b = 6.155 Å, c = 6.155 Å
α = 95.56°, β = 95.56°, γ = 95.56°
Fractional positions:
Na 0.000 0.000 0.000
Ga 0.500 0.500 0.500
Hg 0.181 0.181 0.579
Hg 0.181 0.579 0.181
Hg 0.421 0.819 0.819
Hg 0.579 0.181 0.181
Hg 0.819 0.421 0.819
Hg 0.819 0.819 0.421

Peak list (6 most intense, 10 to 90 degrees two-theta, by intensity)
- 24.4°, d 3.649, I 100
- 35.4°, d 2.532, I 92
- 31.4°, d 2.849, I 84
- 28.0°, d 3.191, I 60
- 44.6°, d 2.030, I 36
- 39.5°, d 2.279, I 34

=====

Please write out number 2 again, unchanged.
Structure and computed X-ray diffraction stick pattern of NaGaHg6 (a structure optimized by DFT (GGA-PBE); λ = 1.5418 Å (Cu Kα)).
No peak broadening, texture or thermal motion is included.

a = 6.155 Å, b = 6.155 Å, c = 6.155 Å
α = 95.56°, β = 95.56°, γ = 95.56°
Fractional positions:
Na 0.000 0.000 0.000
Ga 0.500 0.500 0.500
Hg 0.181 0.181 0.579
Hg 0.181 0.579 0.181
Hg 0.421 0.819 0.819
Hg 0.579 0.181 0.181
Hg 0.819 0.421 0.819
Hg 0.819 0.819 0.421

Peak list (6 most intense, 10 to 90 degrees two-theta, by intensity)
- 24.4°, d 3.649, I 100
- 35.4°, d 2.532, I 92
- 31.4°, d 2.849, I 84
- 28.0°, d 3.191, I 60
- 44.6°, d 2.030, I 36
- 39.5°, d 2.279, I 34